Ce8Pu2Pb: computed powder diffractogram (λ = 1.5418 Å (Cu Kα)), based on a DFT-relaxed cell (GGA-PBE, Alexandria).

Atomic structure:
```
Ce8Pu2Pb
1.0
5.6530 0.0000 0.0000
-2.1068 7.3762 0.0000
-1.6156 -3.6655 7.0826
Ce Pu Pb
8 2 1
Direct
0.0000 0.0000 0.0000
0.0163 0.7257 0.2532
0.1584 0.0938 0.5803
0.2705 0.7227 0.7459
0.5163 0.9736 0.2556
0.5671 0.5295 0.4310
0.6894 0.2144 0.9999
0.7739 0.4706 0.7452
0.0621 0.3400 0.4205
0.6607 0.9551 0.5865
0.3178 0.4679 0.0018
```

Largest 12 diffraction maxima, most intense first, 2θ from 10° to 90°:
2θ = 33.90°, rel. 100, (0 1 2); 2θ = 32.96°, rel. 61, (2 0 -1); 2θ = 31.79°, rel. 45, (-1 2 1); 2θ = 31.43°, rel. 42, (1 -2 2); 2θ = 37.89°, rel. 36, (1 -3 2); 2θ = 33.42°, rel. 36, (1 2 -1); 2θ = 27.27°, rel. 33, (0 2 -2); 2θ = 34.53°, rel. 32, (1 1 -3); 2θ = 38.07°, rel. 30, (1 -3 0); 2θ = 30.47°, rel. 25, (1 -1 2); 2θ = 31.02°, rel. 24, (-1 1 2); 2θ = 33.59°, rel. 21, (1 2 -2)